# Nb2Cd2O7
Simulated powder X-ray diffraction pattern, Cu Kα X-rays. Input: the PBE geometry in OQMD.

Structure:
Cell: 7.3778 7.3778 7.3778 Å, 120.15 90.02 119.83°
Fractional coordinates of all 22 atoms:
1 Nb 0.0000 0.0000 0.0000
2 Nb 0.0000 0.5000 0.5000
3 Nb 0.5134 0.5063 0.5071
4 Nb 0.9993 0.0063 0.4929
5 Cd 0.4961 0.9913 0.0048
6 Cd 0.4977 0.4977 0.0000
7 Cd 0.4977 0.9977 0.5000
8 Cd 0.9864 0.4913 0.9952
9 O 0.0490 0.1175 0.8137
10 O 0.0490 0.7353 0.4315
11 O 0.0499 0.7305 0.8194
12 O 0.3038 0.2353 0.1863
13 O 0.3038 0.6175 0.5685
14 O 0.3102 0.2379 0.5723
15 O 0.3600 0.7358 0.1243
16 O 0.6115 0.2358 0.8757
17 O 0.6635 0.3382 0.4266
18 O 0.6635 0.7369 0.8253
19 O 0.6656 0.7379 0.4277
20 O 0.9111 0.2305 0.1806
21 O 0.9116 0.2369 0.5734
22 O 0.9116 0.8382 0.1747

Peak list (10 most intense, 10° ≤ 2θ ≤ 90°, by angle)
two_theta  d [Å]  intensity
29.66  3.012  100
34.38  2.609  31
49.27  1.849  7
49.41  1.844  30
49.53  1.840  7
58.63  1.575  20
58.76  1.571  20
72.46  1.304  6
80.27  1.196  5
82.73  1.167  9